(1)
# Sr3CuHg
Computed powder diffraction line list, Cu Kα, 1.54184 Å. Input: a cell relaxed with GGA-PBE.

Main lines, in order of rising 2θ (10° ≤ 2θ ≤ 80°):
- 16.55°, intensity 51
- 25.92°, intensity 78
- 28.18°, intensity 26
- 28.53°, intensity 58
- 29.13°, intensity 93
- 31.44°, intensity 92
- 31.96°, intensity 50
- 32.32°, intensity 59
- 34.93°, intensity 100
- 40.25°, intensity 54

Atomic structure:
Unit cell a=8.835 b=4.482 c=9.406 alpha=90.00 beta=107.97 gamma=90.00
Space group P2_1/m (No. 11)
One atom of each set of equivalent atoms:
Sr (0.082, 0.250, 0.240) (multiplicity 2)
Sr (0.308, 0.250, 0.934) (multiplicity 2)
Sr (0.340, 0.750, 0.587) (multiplicity 2)
Cu (0.046, 0.250, 0.564) (multiplicity 2)
Hg (0.370, 0.750, 0.215) (multiplicity 2)


(2)
# Sn2HgPd6
Computed powder diffraction line list, Cu Kα, 1.54184 Å. Input: a cell relaxed with GGA-PBE.

Main lines, in order of rising 2θ (10° ≤ 2θ ≤ 80°):
- 38.16°, intensity 100
- 38.45°, intensity 6
- 39.68°, intensity 13
- 41.77°, intensity 23
- 45.60°, intensity 26
- 63.55°, intensity 19
- 66.46°, intensity 6
- 73.87°, intensity 14
- 74.39°, intensity 5
- 79.30°, intensity 13

Atomic structure:
Unit cell a=8.441 b=8.441 c=4.325 alpha=90.00 beta=90.00 gamma=90.00
Space group P4_2/mnm (No. 136)
One atom of each set of equivalent atoms:
Sn (0.198, 0.198, 0.000) (multiplicity 4)
Hg (0.000, 0.000, 0.500) (multiplicity 2)
Pd (0.021, 0.334, 0.500) (multiplicity 8)
Pd (0.142, 0.858, 0.000) (multiplicity 4)


(3)
# CoHgCl5
Computed powder diffraction line list, Cu Kα, 1.54184 Å. Input: a cell relaxed with GGA-PBE.

Main lines, in order of rising 2θ (10° ≤ 2θ ≤ 80°):
- 12.13°, intensity 96
- 13.89°, intensity 29
- 17.33°, intensity 71
- 19.14°, intensity 98
- 19.56°, intensity 100
- 21.33°, intensity 69
- 26.66°, intensity 31
- 29.18°, intensity 28
- 29.64°, intensity 53
- 29.88°, intensity 34

Atomic structure:
Unit cell a=6.697 b=8.089 c=9.763 alpha=114.19 beta=105.86 gamma=90.74
Space group P-1 (No. 2)
One atom of each set of equivalent atoms:
Co (0.060, 0.375, 0.224) (multiplicity 2)
Hg (0.500, 0.000, 0.500) (multiplicity 1)
Hg (0.500, 0.500, 0.000) (multiplicity 1)
Cl (0.140, 0.163, 0.298) (multiplicity 2)
Cl (0.142, 0.320, 0.008) (multiplicity 2)
Cl (0.181, 0.645, 0.406) (multiplicity 2)
Cl (0.294, 0.655, 0.842) (multiplicity 2)
Cl (0.382, 0.129, 0.720) (multiplicity 2)